Structure and computed XRD peak list of Rb2AlCoF6 (a PBE+U-relaxed structure; λ = 1.5418 Å (Cu Kα)).

Structure:
Unit cell a=5.910 b=5.910 c=8.310 alpha=90.00 beta=90.00 gamma=90.00
Space group I4/mmm (No. 139)
Symmetry-distinct sites (fractional):
Rb 0.000 0.500 0.250 x4
Al 0.000 0.000 0.000 x2
Co 0.000 0.000 0.500 x2
F 0.000 0.000 0.223 x4
F 0.221 0.221 0.000 x8

Most intense lines, 2θ from 10° to 80°, by intensity:
30.30 deg, intensity 100, (2 0 0); 43.30 deg, intensity 32, (2 2 0); 37.34 deg, intensity 27, (2 0 2); 53.78 deg, intensity 24, (3 1 2); 63.10 deg, intensity 18, (2 2 4); 43.56 deg, intensity 16, (0 0 4); 71.40 deg, intensity 13, (4 2 0); 53.95 deg, intensity 12, (2 0 4); 62.90 deg, intensity 9, (4 0 0); 79.62 deg, intensity 8, (4 0 4)